Record 1
Simulated XRD peak list of LiPm3Ni3 for Cu Kα, from a crystal structure in Alexandria, relaxed with GGA-PBE.
Peak positions follow from Bragg's law for the DFT cell and can differ from measured ones.

Crystal structure
```
LiPm3Ni3
1.0
2.083 -5.064 0.000
2.083 5.064 0.000
0.000 0.000 13.578
Li Pm Ni
2 6 6
Cartesian
0.000 0.000 0.000 Li
0.000 0.000 6.789 Li
2.083 4.863 10.183 Pm
2.083 2.031 8.205 Pm
2.083 2.031 12.162 Pm
2.083 -2.031 1.416 Pm
2.083 -2.031 5.373 Pm
2.083 -4.863 3.394 Pm
2.083 2.291 3.394 Ni
2.083 0.903 1.277 Ni
2.083 0.903 5.512 Ni
2.083 -0.903 8.066 Ni
2.083 -0.903 12.301 Ni
2.083 -2.291 10.183 Ni
```

The 8 most intense peaks (10° ≤ 2θ ≤ 90°), in order of rising 2θ:
26.6°, I = 70
30.5°, I = 71
31.7°, I = 36
34.2°, I = 83
35.2°, I = 77
39.7°, I = 100
39.8°, I = 44
43.4°, I = 50

=====

Record 2
Simulated XRD peak list of LiPm3Ni for Cu Kα, from a crystal structure in Alexandria, relaxed with GGA-PBE.
Peak positions follow from Bragg's law for the DFT cell and can differ from measured ones.

Crystal structure
```
LiPm3Ni
1.0
9.009 0.000 0.000
0.000 6.611 0.000
-5.003 0.000 9.118
Li Pm Ni
4 12 4
Cartesian
9.002 1.312 0.012 Li
6.501 1.994 4.571 Li
-2.495 4.617 4.547 Li
-4.996 5.299 9.106 Li
0.305 3.316 2.654 Pm
-2.197 6.601 7.213 Pm
0.164 0.011 4.133 Pm
-2.338 3.295 8.692 Pm
2.606 0.004 1.693 Pm
0.105 3.302 6.252 Pm
3.902 3.309 2.866 Pm
1.400 6.607 7.425 Pm
6.344 3.316 0.426 Pm
3.842 6.600 4.985 Pm
6.203 0.010 1.905 Pm
3.701 3.295 6.464 Pm
-0.495 1.307 9.117 Ni
2.007 1.998 4.558 Ni
1.999 4.613 4.560 Ni
4.501 5.304 0.001 Ni
```

The 8 most intense peaks (10° ≤ 2θ ≤ 90°), in order of rising 2θ:
11.2°, I = 85
27.0°, I = 81
29.2°, I = 54
30.3°, I = 51
31.7°, I = 100
32.4°, I = 65
35.4°, I = 76
40.7°, I = 48

=====

Record 3
Simulated XRD peak list of LiPm6Ni for Cu Kα, from a crystal structure in Alexandria, relaxed with GGA-PBE.
Peak positions follow from Bragg's law for the DFT cell and can differ from measured ones.

Crystal structure
```
LiPm6Ni
1.0
3.387 1.956 6.420
-3.387 1.956 6.420
0.000 -3.911 6.420
Li Pm Ni
1 6 1
Cartesian
0.000 0.000 0.000 Li
-2.159 -0.233 8.001 Pm
-0.878 -1.986 11.257 Pm
1.281 -1.753 8.001 Pm
-1.281 1.753 11.257 Pm
0.878 1.986 8.001 Pm
2.159 0.233 11.257 Pm
0.000 0.000 9.629 Ni
```

The 8 most intense peaks (10° ≤ 2θ ≤ 90°), in order of rising 2θ:
26.3°, I = 16
27.8°, I = 25
29.8°, I = 100
38.6°, I = 26
46.4°, I = 19
50.4°, I = 23
55.0°, I = 16
56.2°, I = 12

=====

Record 4
Simulated XRD peak list of LiPm3Si6Ni2 for Cu Kα, from a crystal structure in Alexandria, relaxed with GGA-PBE.
Peak positions follow from Bragg's law for the DFT cell and can differ from measured ones.

Crystal structure
```
LiPm3Si6Ni2
1.0
5.875 0.000 0.000
-2.938 5.088 0.000
0.000 0.000 7.895
Li Pm Si Ni
1 3 6 2
Cartesian
0.000 0.000 0.000 Li
0.000 0.000 3.948 Pm
0.000 3.392 0.996 Pm
2.938 1.696 6.899 Pm
0.000 1.994 6.153 Si
-1.211 4.091 6.153 Si
1.726 0.997 1.742 Si
1.211 4.091 6.153 Si
4.149 0.997 1.742 Si
2.938 3.095 1.742 Si
0.000 3.392 4.302 Ni
2.938 1.696 3.594 Ni
```

The 8 most intense peaks (10° ≤ 2θ ≤ 90°), in order of rising 2θ:
20.8°, I = 69
28.6°, I = 77
30.4°, I = 100
37.1°, I = 47
38.2°, I = 33
42.3°, I = 45
46.3°, I = 38
53.0°, I = 29

=====

Record 5
Simulated XRD peak list of LiPr2NiPt2 for Cu Kα, from a crystal structure in Alexandria, relaxed with GGA-PBE.
Peak positions follow from Bragg's law for the DFT cell and can differ from measured ones.

Crystal structure
```
LiPr2NiPt2
1.0
-2.983 6.982 2.966
2.983 -6.982 2.966
2.983 6.982 -2.966
Li Pr Ni Pt
2 4 2 4
Cartesian
0.000 0.000 1.483 Li
0.000 0.000 4.449 Li
4.448 2.271 0.000 Pr
1.465 4.711 0.000 Pr
1.519 2.271 2.966 Pr
-1.465 4.711 2.966 Pr
2.983 0.000 1.483 Ni
0.000 6.982 1.483 Ni
1.483 1.632 0.000 Pt
1.483 -1.632 2.966 Pt
1.501 8.614 0.000 Pt
1.501 5.350 2.966 Pt
```

The 8 most intense peaks (10° ≤ 2θ ≤ 90°), in order of rising 2θ:
25.5°, I = 81
30.0°, I = 87
30.1°, I = 86
33.4°, I = 70
39.7°, I = 86
39.9°, I = 85
43.0°, I = 100
50.7°, I = 51

=====

Record 6
Simulated XRD peak list of Li3Pr2ZnNi12 for Cu Kα, from a crystal structure in Alexandria, relaxed with GGA-PBE.
Peak positions follow from Bragg's law for the DFT cell and can differ from measured ones.

Crystal structure
```
Li3Pr2ZnNi12
1.0
2.841 1.640 9.362
-2.841 1.640 9.362
0.000 -3.281 9.362
Li Pr Zn Ni
3 2 1 12
Cartesian
-1.421 -0.820 9.362 Li
-1.421 0.820 18.724 Li
0.000 1.640 9.362 Li
0.000 0.000 3.962 Pr
0.000 0.000 24.123 Pr
0.000 0.000 14.043 Zn
0.000 -1.947 8.033 Ni
-1.686 0.973 8.033 Ni
-1.254 -0.724 12.092 Ni
-1.686 -0.973 20.052 Ni
0.000 -1.448 15.994 Ni
-1.254 0.724 15.994 Ni
1.254 -0.724 12.092 Ni
0.000 1.448 12.092 Ni
1.686 0.973 8.033 Ni
1.254 0.724 15.994 Ni
1.686 -0.973 20.052 Ni
0.000 1.947 20.052 Ni
```

The 8 most intense peaks (10° ≤ 2θ ≤ 90°), in order of rising 2θ:
28.7°, I = 33
32.9°, I = 63
36.8°, I = 35
37.0°, I = 50
38.8°, I = 100
39.8°, I = 51
45.0°, I = 46
65.7°, I = 27

=====

Record 7
Simulated XRD peak list of LiNi2Pt for Cu Kα, from a crystal structure in Alexandria, relaxed with GGA-PBE.
Peak positions follow from Bragg's law for the DFT cell and can differ from measured ones.

Crystal structure
```
LiNi2Pt
1.0
4.290 -1.328 0.000
4.290 1.328 0.000
-0.830 0.000 4.371
Li Ni Pt
1 2 1
Cartesian
0.000 0.000 0.000 Li
3.848 0.000 2.131 Ni
6.276 0.000 1.106 Ni
1.472 0.000 3.254 Pt
```

The 8 most intense peaks (10° ≤ 2θ ≤ 90°), in order of rising 2θ:
20.3°, I = 58
21.1°, I = 96
26.5°, I = 35
40.1°, I = 38
42.2°, I = 100
42.9°, I = 95
49.1°, I = 64
73.1°, I = 38

=====

Record 8
Simulated XRD peak list of Li2NiSbPt for Cu Kα, from a crystal structure in Alexandria, relaxed with GGA-PBE.
Peak positions follow from Bragg's law for the DFT cell and can differ from measured ones.

Crystal structure
```
Li2NiSbPt
1.0
4.898 0.000 0.000
0.000 4.898 0.000
0.000 0.000 4.935
Li Ni Sb Pt
2 1 1 1
Cartesian
0.000 2.449 0.000 Li
2.449 0.000 0.000 Li
0.000 0.000 2.467 Ni
2.449 2.449 0.000 Sb
2.449 2.449 2.467 Pt
```

The 8 most intense peaks (10° ≤ 2θ ≤ 90°), in order of rising 2θ:
18.1°, I = 100
25.7°, I = 97
36.4°, I = 22
36.7°, I = 43
41.0°, I = 26
41.2°, I = 32
45.1°, I = 43
52.7°, I = 30

=====

Record 9
Simulated XRD peak list of Li4Pu3NiS8 for Cu Kα, from a crystal structure in Alexandria, relaxed with GGA-PBE.
Peak positions follow from Bragg's law for the DFT cell and can differ from measured ones.

Crystal structure
```
Li4Pu3NiS8
1.0
6.482 -3.825 0.000
6.482 3.825 0.000
-4.230 0.000 6.226
Li Pu Ni S
4 3 1 8
Cartesian
0.000 0.000 0.000 Li
1.126 1.912 3.113 Li
1.126 -1.912 3.113 Li
6.482 0.000 0.000 Li
-2.115 0.000 3.113 Pu
3.241 1.912 0.000 Pu
3.241 -1.912 0.000 Pu
4.368 0.000 3.113 Ni
0.103 0.000 4.658 S
3.336 1.819 4.602 S
2.276 0.000 1.650 S
5.399 1.819 1.624 S
3.336 -1.819 4.602 S
6.459 0.000 4.576 S
5.399 -1.819 1.624 S
8.633 0.000 1.568 S
```

The 8 most intense peaks (10° ≤ 2θ ≤ 90°), in order of rising 2θ:
14.5°, I = 100
27.4°, I = 68
28.7°, I = 29
33.4°, I = 81
36.6°, I = 31
44.2°, I = 20
47.6°, I = 30
48.4°, I = 28

=====

Record 10
Simulated XRD peak list of LiNiSbRh for Cu Kα, from a crystal structure in Alexandria, relaxed with GGA-PBE.
Peak positions follow from Bragg's law for the DFT cell and can differ from measured ones.

Crystal structure
```
LiNiSbRh
1.0
0.000 3.057 3.057
3.057 0.000 3.057
3.057 3.057 0.000
Li Ni Sb Rh
1 1 1 1
Cartesian
0.000 0.000 0.000 Li
1.528 1.528 1.528 Ni
3.057 3.057 3.057 Sb
4.585 4.585 4.585 Rh
```

The 8 most intense peaks (10° ≤ 2θ ≤ 90°), in order of rising 2θ:
25.2°, I = 44
29.2°, I = 3
41.8°, I = 100
49.4°, I = 21
60.6°, I = 16
66.7°, I = 8
76.3°, I = 32
81.9°, I = 6

=====

Record 11
Simulated XRD peak list of LiNiTeRh for Cu Kα, from a crystal structure in Alexandria, relaxed with GGA-PBE.
Peak positions follow from Bragg's law for the DFT cell and can differ from measured ones.

Crystal structure
```
LiNiTeRh
1.0
0.000 3.079 3.079
3.079 0.000 3.079
3.079 3.079 0.000
Li Ni Te Rh
1 1 1 1
Cartesian
0.000 0.000 0.000 Li
4.619 4.619 4.619 Ni
3.079 3.079 3.079 Te
1.540 1.540 1.540 Rh
```

The 8 most intense peaks (10° ≤ 2θ ≤ 90°), in order of rising 2θ:
25.0°, I = 45
29.0°, I = 3
41.5°, I = 100
49.1°, I = 22
60.1°, I = 16
66.1°, I = 9
75.7°, I = 32
81.2°, I = 7

=====

Record 12
Simulated XRD peak list of LiTiNiRu for Cu Kα, from a crystal structure in Alexandria, relaxed with GGA-PBE.
Peak positions follow from Bragg's law for the DFT cell and can differ from measured ones.

Crystal structure
```
LiTiNiRu
1.0
0.000 2.960 2.960
2.960 0.000 2.960
2.960 2.960 0.000
Li Ti Ni Ru
1 1 1 1
Cartesian
0.000 0.000 0.000 Li
2.960 2.960 2.960 Ti
4.440 4.440 4.440 Ni
1.480 1.480 1.480 Ru
```

The 8 most intense peaks (10° ≤ 2θ ≤ 90°), in order of rising 2θ:
26.1°, I = 18
30.2°, I = 38
43.2°, I = 100
51.2°, I = 8
53.6°, I = 10
62.8°, I = 16
71.2°, I = 12
79.3°, I = 30